Record 1
Starting from a cell relaxed with PBE, the powder X-ray diffraction pattern of TbY2Pd4 was calculated for Cu Kα (weighted mean of Kα1 and Kα2).
Neutral-atom scattering factors, no anomalous dispersion.

Atomic structure:
Cell: 8.577 7.261 5.275 Å, 90.00 110.39 90.00°
Space group C2/m (No. 12)
Inequivalent atoms, fractional coordinates:
1 Tb 0.000 0.000 0.000
2 Y 0.162 0.500 0.353
3 Pd 0.000 0.196 0.500
4 Pd 0.250 0.250 0.000

The 10 most intense peaks (2θ from 10° to 80°), sorted by position:
index, 2θ (°), d_spacing, intensity
1 1 0, 16.45, 5.389, 20
1 1 1, 27.18, 3.281, 25
2 0 1, 33.26, 2.694, 16
2 2 -1, 33.97, 2.639, 100
3 1 0, 35.71, 2.514, 28
0 0 2, 36.30, 2.475, 49
2 2 1, 41.76, 2.163, 23
1 3 1, 44.82, 2.022, 24
4 0 -2, 47.31, 1.921, 22
0 4 0, 50.26, 1.815, 11

Record 2
Starting from a cell relaxed with PBE, the powder X-ray diffraction pattern of Tl4Pt was calculated for Cu Kα (weighted mean of Kα1 and Kα2).
Neutral-atom scattering factors, no anomalous dispersion.

Atomic structure:
Cell: 6.737 6.737 6.044 Å, 90.00 90.00 90.00°
Space group P4/nbm (No. 125, origin choice 2)
Inequivalent atoms, fractional coordinates:
1 Tl 0.076 0.576 0.243
2 Pt 0.250 0.250 0.500

The 10 most intense peaks (2θ from 10° to 80°), sorted by position:
index, 2θ (°), d_spacing, intensity
1 1 1, 23.78, 3.742, 14
0 0 2, 29.56, 3.022, 18
2 1 1, 33.22, 2.697, 100
1 1 2, 35.17, 2.552, 17
2 0 2, 40.08, 2.250, 39
3 1 0, 42.43, 2.131, 24
2 1 3, 54.81, 1.675, 24
4 1 1, 58.51, 1.577, 27
3 3 2, 66.52, 1.406, 20
4 1 3, 74.81, 1.269, 13

Record 3
Starting from a cell relaxed with PBE, the powder X-ray diffraction pattern of LaBi2Rh3 was calculated for Cu Kα (weighted mean of Kα1 and Kα2).
Neutral-atom scattering factors, no anomalous dispersion.

Atomic structure:
Cell: 4.829 5.213 10.669 Å, 90.00 90.81 90.00°
Space group P2_1/m (No. 11)
Inequivalent atoms, fractional coordinates:
1 La 0.249 0.250 0.212
2 Bi 0.245 0.750 0.521
3 Bi 0.278 0.250 0.878
4 Rh 0.199 0.750 0.982
5 Rh 0.233 0.750 0.260
6 Rh 0.259 0.250 0.611

The 10 most intense peaks (2θ from 10° to 80°), sorted by position:
index, 2θ (°), d_spacing, intensity
1 1 -2, 30.14, 2.965, 40
1 1 2, 30.43, 2.937, 29
1 0 -3, 31.02, 2.883, 46
1 0 3, 31.45, 2.844, 63
0 2 0, 34.41, 2.607, 100
2 0 0, 37.25, 2.414, 74
1 1 -4, 42.21, 2.141, 55
1 1 4, 42.65, 2.120, 50
1 2 3, 47.30, 1.922, 41
2 2 0, 51.60, 1.771, 58